(1)
LiTmO3: theoretical X-ray diffraction stick pattern (a wavelength of 1.5418 Å), based on DFT lattice parameters and positions (GGA-PBE).

Largest 10 diffraction maxima, low angle first, 10 to 90 degrees two-theta:
- 2θ 24.4, 3.642 Å, intensity 100, hkl 1 0 0
- 2θ 34.8, 2.575 Å, intensity 94, hkl 1 1 0
- 2θ 43.0, 2.102 Å, intensity 63, hkl 1 1 1
- 2θ 50.1, 1.821 Å, intensity 33, hkl 2 0 0
- 2θ 56.5, 1.629 Å, intensity 43, hkl 2 1 0
- 2θ 62.5, 1.487 Å, intensity 37, hkl 2 1 1
- 2θ 73.6, 1.287 Å, intensity 19, hkl 2 2 0
- 2θ 78.9, 1.214 Å, intensity 21, hkl 3 0 0
- 2θ 84.1, 1.152 Å, intensity 17, hkl 3 1 0
- 2θ 89.2, 1.098 Å, intensity 22, hkl 3 1 1

Structure:
Unit cell a=3.642 b=3.642 c=3.642 alpha=90.00 beta=90.00 gamma=90.00
Element x y z (fractional)
Li1 0.000 0.000 0.000
Tm1 0.500 0.500 0.500
O1 0.000 0.000 0.500
O2 0.000 0.500 0.000
O3 0.500 0.000 0.000

---

(2)
AgH9O5: theoretical X-ray diffraction stick pattern (a wavelength of 1.5418 Å), based on DFT lattice parameters and positions (GGA-PBE).

Largest 10 diffraction maxima, low angle first, 10 to 90 degrees two-theta:
- 2θ 13.6, 6.530 Å, intensity 46, hkl 0 0 2
- 2θ 15.3, 5.805 Å, intensity 100, hkl 1 0 1
- 2θ 24.6, 3.614 Å, intensity 39, hkl 1 0 3
- 2θ 29.7, 3.012 Å, intensity 24, hkl 0 2 2
- 2θ 30.5, 2.930 Å, intensity 37, hkl 1 2 1
- 2θ 36.3, 2.474 Å, intensity 24, hkl 1 2 3
- 2θ 38.4, 2.344 Å, intensity 13, hkl 2 2 0
- 2θ 40.9, 2.206 Å, intensity 26, hkl 2 2 2
- 2θ 46.0, 1.972 Å, intensity 20, hkl 1 2 5
- 2θ 50.6, 1.805 Å, intensity 15, hkl 3 2 1

Structure:
Unit cell a=6.480 b=6.789 c=13.059 alpha=90.00 beta=90.00 gamma=90.00
Element x y z (fractional)
Ag1 0.009 0.245 0.248
Ag2 0.491 0.755 0.748
Ag3 0.509 0.255 0.752
Ag4 0.991 0.745 0.252
H1 0.057 0.785 0.550
H2 0.062 0.498 0.444
H3 0.078 0.845 0.952
H4 0.086 0.487 0.064
H5 0.132 0.996 0.705
H6 0.148 0.008 0.832
H7 0.184 0.488 0.603
H8 0.210 0.956 0.513
H9 0.213 0.493 0.893
H10 0.287 0.507 0.393
H11 0.290 0.044 0.013
H12 0.316 0.512 0.103
H13 0.352 0.992 0.332
H14 0.368 0.004 0.205
H15 0.414 0.513 0.564
H16 0.422 0.155 0.452
H17 0.438 0.502 0.944
H18 0.443 0.215 0.050
H19 0.557 0.715 0.450
H20 0.562 0.002 0.556
H21 0.578 0.655 0.048
H22 0.586 0.013 0.936
H23 0.632 0.504 0.295
H24 0.648 0.492 0.168
H25 0.684 0.012 0.397
H26 0.710 0.544 0.487
H27 0.713 0.007 0.107
H28 0.787 0.993 0.607
H29 0.790 0.456 0.987
H30 0.816 0.988 0.897
H31 0.852 0.508 0.668
H32 0.868 0.496 0.795
H33 0.914 0.987 0.436
H34 0.922 0.345 0.548
H35 0.938 0.998 0.056
H36 0.943 0.285 0.950
O1 0.070 0.989 0.950
O2 0.072 0.929 0.548
O3 0.140 0.495 0.376
O4 0.169 0.508 0.126
O5 0.225 0.014 0.764
O6 0.275 0.986 0.264
O7 0.331 0.492 0.626
O8 0.360 0.505 0.876
O9 0.428 0.071 0.048
O10 0.430 0.011 0.450
O11 0.570 0.511 0.050
O12 0.572 0.571 0.452
O13 0.640 0.005 0.624
O14 0.669 0.992 0.874
O15 0.725 0.486 0.236
O16 0.775 0.514 0.736
O17 0.831 0.008 0.374
O18 0.860 0.995 0.124
O19 0.928 0.429 0.952
O20 0.930 0.489 0.550

---

(3)
NaMgSO7: theoretical X-ray diffraction stick pattern (a wavelength of 1.5418 Å), based on DFT lattice parameters and positions (GGA-PBE).

Largest 10 diffraction maxima, low angle first, 10 to 90 degrees two-theta:
- 2θ 12.5, 7.055 Å, intensity 32, hkl 0 0 1
- 2θ 15.0, 5.888 Å, intensity 100, hkl 1 0 0
- 2θ 19.5, 4.560 Å, intensity 72, hkl 1 1 0
- 2θ 22.8, 3.900 Å, intensity 96, hkl 1 0 1
- 2θ 24.7, 3.603 Å, intensity 63, hkl 0 2 0
- 2θ 26.0, 3.430 Å, intensity 34, hkl 1 1 1
- 2θ 27.5, 3.248 Å, intensity 51, hkl 1 1 -2
- 2θ 27.8, 3.209 Å, intensity 39, hkl 0 2 1
- 2θ 29.5, 3.027 Å, intensity 43, hkl 1 2 -1
- 2θ 32.1, 2.790 Å, intensity 29, hkl 2 0 -2

Structure:
Unit cell a=6.284 b=7.206 c=7.530 alpha=90.00 beta=110.45 gamma=90.00
Element x y z (fractional)
Na1 0.236 0.250 0.253
Na2 0.764 0.750 0.747
Mg1 0.500 0.000 0.000
Mg2 0.500 0.500 0.000
S1 0.325 0.750 0.285
S2 0.675 0.250 0.715
O1 0.138 0.750 0.358
O2 0.186 0.664 0.746
O3 0.186 0.836 0.746
O4 0.309 0.579 0.163
O5 0.309 0.921 0.163
O6 0.373 0.250 0.007
O7 0.449 0.250 0.563
O8 0.551 0.750 0.437
O9 0.627 0.750 0.993
O10 0.691 0.079 0.837
O11 0.691 0.421 0.837
O12 0.814 0.164 0.254
O13 0.814 0.336 0.254
O14 0.862 0.250 0.642